1.
The following is a theoretical X-ray diffraction stick pattern of Y3Mg3GaAu2. It was derived from a DFT-relaxed cell (GGA-PBE, OQMD), using a wavelength of 1.5418 Å.

Principal peaks in the range 2θ = 10–90°, by intensity:
index	Position (°2θ)	I/Imax
1 1 1	32.15	100
2 0 1	34.93	78
1 1 0	23.14	62
1 0 0	13.30	44
3 0 0	40.66	44
2 1 1	42.32	33
1 0 1	25.80	26
3 0 2	62.16	25
3 2 1	65.32	22
2 1 0	35.68	21

Cell and atoms:
Unit cell a=7.687 b=7.687 c=4.038 alpha=90.00 beta=90.00 gamma=120.00
Element x y z (fractional)
Y 0.000 0.590 0.000
Y 0.410 0.410 0.000
Y 0.590 0.000 0.000
Mg 0.000 0.249 0.500
Mg 0.249 0.000 0.500
Mg 0.751 0.751 0.500
Ga 0.000 0.000 0.000
Au 0.333 0.667 0.500
Au 0.667 0.333 0.500

2.
The following is a theoretical X-ray diffraction stick pattern of LaDyO4. It was derived from a DFT-relaxed cell (GGA-PBE, OQMD), using a wavelength of 1.5418 Å.

Principal peaks in the range 2θ = 10–90°, by intensity:
index	Position (°2θ)	I/Imax
1 1 -1	29.14	100
0 0 2	28.13	45
1 1 1	30.90	37
2 0 0	26.87	34
1 1 -3	49.26	28
1 1 3	52.63	23
3 1 0	47.20	23
2 0 1	32.10	21
0 2 0	46.44	20
2 0 -2	36.41	16

Cell and atoms:
Unit cell a=6.699 b=3.911 c=6.405 alpha=90.00 beta=97.84 gamma=90.00
Element x y z (fractional)
La 0.000 0.000 0.000
La 0.500 0.500 0.000
Dy 0.107 0.500 0.538
Dy 0.607 0.000 0.538
O 0.149 0.500 0.894
O 0.216 0.000 0.353
O 0.377 0.000 0.213
O 0.450 0.500 0.612
O 0.649 0.000 0.894
O 0.716 0.500 0.353
O 0.877 0.500 0.213
O 0.950 0.000 0.612